Starting from a crystal structure in Alexandria, relaxed with GGA-PBE, the PXRD pattern of Ho6Fe2Cu was simulated for Cu Kα, 1.54184 Å.
Kinematic intensities with the Lorentz-polarization factor, no thermal factor.

Atomic structure:
Cell: 8.209 8.209 8.209 Å, 110.78 110.44 107.22°
Positions (direct):
Ho1 0.018 0.221 0.797
Ho2 0.186 0.287 0.473
Ho3 0.186 0.713 0.898
Ho4 0.315 0.019 0.704
Ho5 0.315 0.612 0.296
Ho6 0.424 0.221 0.203
Ho7 0.576 0.779 0.797
Ho8 0.685 0.388 0.704
Ho9 0.685 0.981 0.296
Ho10 0.814 0.287 0.102
Ho11 0.814 0.713 0.527
Ho12 0.982 0.779 0.203
Fe1 0.110 0.610 0.500
Fe2 0.383 0.000 0.383
Fe3 0.617 0.000 0.617
Fe4 0.890 0.390 0.500
Cu1 0.000 0.000 0.000
Cu2 0.500 0.500 0.000

Most intense lines, 2θ from 5° to 70°, low angle first:
- 29.1 deg, intensity 20
- 30.1 deg, intensity 19
- 32.8 deg, intensity 100
- 35.0 deg, intensity 42
- 35.5 deg, intensity 37
- 35.8 deg, intensity 42
- 38.6 deg, intensity 21
- 55.6 deg, intensity 19
- 60.4 deg, intensity 20
- 60.9 deg, intensity 22